# 1
Theoretical XRD peak list
Compound: RbSm2Ag2Te4
Radiation: copper Kα
Structure: a GGA-PBE-relaxed structure
No peak broadening, texture or thermal motion is included.

Largest 12 diffraction maxima, most intense first, 2θ from 10° to 90°:
2theta, I/Imax
30.36, 100
30.91, 81
42.88, 76
35.61, 75
38.46, 72
33.06, 70
26.77, 68
33.59, 62
31.67, 48
34.44, 47
25.91, 41
12.17, 34

Cell and atoms:
Cell lengths 8.5673, 8.5673, 8.8244 Å; angles 115.81, 115.81, 28.49 degrees
Sites, in units of the cell vectors:
1 Rb 0.0000 0.0000 0.0000
2 Sm 0.1205 0.1205 0.5484
3 Sm 0.8795 0.8795 0.4516
4 Ag 0.2962 0.2962 0.9536
5 Ag 0.7038 0.7038 0.0464
6 Te 0.2231 0.2231 0.2947
7 Te 0.4609 0.4609 0.2783
8 Te 0.5391 0.5391 0.7217
9 Te 0.7769 0.7769 0.7053



# 2
Theoretical XRD peak list
Compound: Ac8Co3GeI4
Radiation: copper Kα
Structure: a GGA-PBE-relaxed structure
No peak broadening, texture or thermal motion is included.

Largest 12 diffraction maxima, most intense first, 2θ from 10° to 90°:
2theta, I/Imax
27.24, 100
40.97, 28
36.70, 21
24.37, 21
29.21, 21
31.50, 17
34.00, 16
52.57, 16
41.11, 14
52.35, 13
10.38, 13
49.99, 12

Cell and atoms:
Cell lengths 8.7829, 8.8089, 9.9181 Å; angles 63.67, 63.77, 60.14 degrees
Sites, in units of the cell vectors:
1 Ac 0.2086 0.2364 0.3183
2 Ac 0.2283 0.7289 0.3131
3 Ac 0.2643 0.7631 0.6822
4 Ac 0.2647 0.2905 0.6817
5 Ac 0.7353 0.7095 0.3183
6 Ac 0.7357 0.2369 0.3178
7 Ac 0.7717 0.2711 0.6869
8 Ac 0.7914 0.7636 0.6817
9 Co 0.0000 0.0000 0.5000
10 Co 0.0000 0.5000 0.5000
11 Co 0.5000 0.5000 0.5000
12 Ge 0.5000 0.0000 0.5000
13 I 0.0000 0.0000 0.0000
14 I 0.0000 0.5000 0.0000
15 I 0.5000 0.0000 0.0000
16 I 0.5000 0.5000 0.0000



# 3
Theoretical XRD peak list
Compound: ZnSiAsP
Radiation: copper Kα
Structure: a GGA-PBE-relaxed structure
No peak broadening, texture or thermal motion is included.

Largest 12 diffraction maxima, most intense first, 2θ from 10° to 90°:
2theta, I/Imax
28.13, 100
46.35, 24
46.88, 23
47.08, 23
54.92, 14
55.28, 14
56.22, 13
22.70, 8
86.63, 7
86.18, 7
87.78, 7
75.89, 6

Cell and atoms:
Cell lengths 5.5178, 5.5640, 10.8050 Å; angles 90.00, 90.00, 90.00 degrees
Sites, in units of the cell vectors:
1 Zn 0.0000 0.2500 0.1169
2 Zn 0.0000 0.7500 0.3831
3 Zn 0.5000 0.2500 0.8831
4 Zn 0.5000 0.7500 0.6169
5 Si 0.0000 0.2500 0.6209
6 Si 0.0000 0.7500 0.8791
7 Si 0.5000 0.2500 0.3791
8 Si 0.5000 0.7500 0.1209
9 As 0.2403 0.0000 0.7500
10 As 0.2597 0.0000 0.2500
11 As 0.7403 0.5000 0.2500
12 As 0.7597 0.5000 0.7500
13 P 0.2500 0.4791 0.5000
14 P 0.2500 0.5209 0.0000
15 P 0.7500 0.0209 0.5000
16 P 0.7500 0.9791 0.0000



# 4
Theoretical XRD peak list
Compound: DyBe17Nb
Radiation: copper Kα
Structure: a GGA-PBE-relaxed structure
No peak broadening, texture or thermal motion is included.

Largest 12 diffraction maxima, most intense first, 2θ from 10° to 90°:
2theta, I/Imax
23.64, 100
34.13, 95
15.80, 73
48.70, 47
21.13, 36
41.55, 32
24.26, 32
71.08, 30
48.36, 25
28.56, 24
49.68, 23
37.40, 23

Cell and atoms:
Cell lengths 5.6879, 5.6879, 5.6879 Å; angles 82.87, 82.87, 82.87 degrees
Sites, in units of the cell vectors:
1 Dy 0.0000 0.0000 0.0000
2 Be 0.0505 0.3412 0.6226
3 Be 0.0505 0.6226 0.3412
4 Be 0.1824 0.6778 0.6778
5 Be 0.2461 0.2461 0.2461
6 Be 0.3412 0.0505 0.6226
7 Be 0.3412 0.6226 0.0505
8 Be 0.3423 0.3423 0.8366
9 Be 0.3423 0.8366 0.3423
10 Be 0.4375 0.4375 0.4375
11 Be 0.5002 0.9926 0.9926
12 Be 0.6226 0.0505 0.3412
13 Be 0.6226 0.3412 0.0505
14 Be 0.6778 0.1824 0.6778
15 Be 0.6778 0.6778 0.1824
16 Be 0.8366 0.3423 0.3423
17 Be 0.9926 0.5002 0.9926
18 Be 0.9926 0.9926 0.5002
19 Nb 0.6734 0.6734 0.6734



# 5
Theoretical XRD peak list
Compound: Li2La2PmPb2
Radiation: copper Kα
Structure: a GGA-PBE-relaxed structure
No peak broadening, texture or thermal motion is included.

Largest 12 diffraction maxima, most intense first, 2θ from 10° to 90°:
2theta, I/Imax
30.71, 100
36.87, 94
33.15, 78
21.28, 42
62.48, 41
21.98, 37
48.72, 28
62.63, 27
50.42, 24
64.07, 24
24.59, 22
86.44, 17

Cell and atoms:
Cell lengths 9.7910, 9.7910, 9.7910 Å; angles 28.84, 28.84, 28.84 degrees
Sites, in units of the cell vectors:
1 Li 0.0964 0.0964 0.0964
2 Li 0.9036 0.9036 0.9036
3 La 0.3661 0.3661 0.3661
4 La 0.6339 0.6339 0.6339
5 Pm 0.5000 0.5000 0.5000
6 Pb 0.2331 0.2331 0.2331
7 Pb 0.7669 0.7669 0.7669



# 6
Theoretical XRD peak list
Compound: Hf6Ge2Sb
Radiation: copper Kα
Structure: a GGA-PBE-relaxed structure
No peak broadening, texture or thermal motion is included.

Largest 12 diffraction maxima, most intense first, 2θ from 10° to 90°:
2theta, I/Imax
35.56, 100
39.01, 74
34.09, 41
29.99, 40
34.30, 38
38.06, 34
36.13, 29
30.69, 27
40.17, 26
34.95, 21
31.91, 19
34.56, 17

Cell and atoms:
Cell lengths 5.5687, 7.6128, 10.5304 Å; angles 90.00, 120.74, 90.00 degrees
Sites, in units of the cell vectors:
1 Hf 0.0260 0.1918 0.4342
2 Hf 0.0260 0.3082 0.9342
3 Hf 0.3096 0.6532 0.4360
4 Hf 0.3096 0.8468 0.9360
5 Hf 0.3217 0.0294 0.1990
6 Hf 0.3217 0.4706 0.6990
7 Hf 0.6783 0.5294 0.3010
8 Hf 0.6783 0.9706 0.8010
9 Hf 0.6904 0.1532 0.0640
10 Hf 0.6904 0.3468 0.5640
11 Hf 0.9740 0.6918 0.0658
12 Hf 0.9740 0.8082 0.5658
13 Ge 0.1541 0.1232 0.7436
14 Ge 0.1541 0.3768 0.2436
15 Ge 0.8459 0.6232 0.7564
16 Ge 0.8459 0.8768 0.2564
17 Sb 0.5000 0.0000 0.5000
18 Sb 0.5000 0.5000 0.0000